For ThB2Ru2, a PBE-relaxed structure gives the computed powder XRD pattern in this record (Cu Kα (weighted mean of Kα1 and Kα2)).
Neutral-atom scattering factors, no anomalous dispersion.

The 10 most intense peaks (2θ from 10° to 90°), low angle first:
d = 3.492 Å, 25.51 deg, I = 13
d = 3.150 Å, 28.33 deg, I = 31
d = 2.656 Å, 33.75 deg, I = 100
d = 2.328 Å, 38.68 deg, I = 23
d = 2.286 Å, 39.41 deg, I = 28
d = 1.913 Å, 47.54 deg, I = 13
d = 1.631 Å, 56.41 deg, I = 18
d = 1.438 Å, 64.83 deg, I = 12
d = 1.399 Å, 66.87 deg, I = 12
d = 1.381 Å, 67.88 deg, I = 12

```
ThB2Ru2
1.0
-3.233 3.233 13.968
3.233 -3.233 13.968
3.233 3.233 -13.968
Th B Ru
8 16 16
Direct
0.000 0.000 0.000 Th
0.000 0.000 0.500 Th
0.000 0.500 0.000 Th
0.000 0.500 0.500 Th
0.500 0.000 0.000 Th
0.500 0.000 0.500 Th
0.500 0.500 0.000 Th
0.500 0.500 0.500 Th
0.019 0.373 0.583 B
0.064 0.209 0.583 B
0.127 0.481 0.917 B
0.209 0.127 0.145 B
0.291 0.436 0.917 B
0.373 0.291 0.355 B
0.436 0.019 0.145 B
0.481 0.064 0.355 B
0.519 0.936 0.645 B
0.564 0.981 0.855 B
0.627 0.709 0.645 B
0.709 0.564 0.083 B
0.791 0.873 0.855 B
0.873 0.519 0.083 B
0.936 0.791 0.417 B
0.981 0.627 0.417 B
0.089 0.708 0.977 Ru
0.112 0.089 0.881 Ru
0.208 0.589 0.477 Ru
0.231 0.112 0.523 Ru
0.269 0.792 0.881 Ru
0.292 0.769 0.381 Ru
0.388 0.269 0.977 Ru
0.411 0.388 0.619 Ru
0.589 0.612 0.381 Ru
0.612 0.731 0.023 Ru
0.708 0.231 0.619 Ru
0.731 0.208 0.119 Ru
0.769 0.888 0.477 Ru
0.792 0.411 0.523 Ru
0.888 0.911 0.119 Ru
0.911 0.292 0.023 Ru
```